The following is a calculated powder X-ray diffraction pattern of Sm6Tl2N. It was derived from DFT lattice parameters and positions (GGA-PBE), using Cu Kα (λ = 1.5418 Å).

Atomic structure:
```
Sm6Tl2N
1.0
0.000 4.988 4.988
4.988 0.000 4.988
4.988 4.988 0.000
Sm Tl N
6 2 1
Direct
0.244 0.244 0.756 Sm
0.244 0.756 0.244 Sm
0.244 0.756 0.756 Sm
0.756 0.244 0.244 Sm
0.756 0.244 0.756 Sm
0.756 0.756 0.244 Sm
0.250 0.250 0.250 Tl
0.750 0.750 0.750 Tl
0.000 0.000 0.000 N
```

Top 10 peaks for 2θ from 10° to 80°, in order of rising 2θ:
d_spacing	2θ (°)	I (rel.)
5.760	15.4	1
4.988	17.8	1
3.527	25.2	2
2.880	31.1	100
2.494	36.0	53
2.036	44.5	1
1.764	51.8	37
1.504	61.7	43
1.440	64.7	13
1.247	76.4	6